# 1
Structure and computed X-ray diffraction stick pattern of V6Ga7 (the GGA-PBE geometry in the Materials Project; Cu Kα, 1.54184 Å).

Structure:
Cell: 7.931 7.893 9.134 Å, 54.94 54.55 70.51°
Atoms (fractional coordinates):
V1 0.000 0.000 0.000
V2 0.285 0.999 0.354
V3 0.293 0.293 0.707
V4 0.306 0.637 0.694
V5 0.430 0.644 0.356
V6 0.637 0.306 0.363
V7 0.638 0.646 0.001
V8 0.641 0.990 0.010
V9 0.644 0.430 0.570
V10 0.646 0.638 0.715
V11 0.990 0.641 0.359
V12 0.999 0.285 0.362
Ga1 0.021 0.643 0.636
Ga2 0.270 0.643 0.010
Ga3 0.297 0.917 0.083
Ga4 0.300 0.364 0.357
Ga5 0.358 0.986 0.642
Ga6 0.364 0.300 0.979
Ga7 0.641 0.846 0.359
Ga8 0.643 0.021 0.700
Ga9 0.643 0.270 0.077
Ga10 0.846 0.641 0.154
Ga11 0.917 0.297 0.703
Ga12 0.923 0.990 0.357
Ga13 0.986 0.358 0.014
Ga14 0.990 0.923 0.730

Principal peaks in the range 2θ = 10–90°, sorted by position:
- 2θ 33.91, intensity 10
- 2θ 36.90, intensity 9
- 2θ 41.85, intensity 40
- 2θ 41.95, intensity 100
- 2θ 42.08, intensity 39
- 2θ 50.95, intensity 9
- 2θ 60.84, intensity 8
- 2θ 76.55, intensity 12



# 2
Structure and computed X-ray diffraction stick pattern of V3Ga2 (the GGA-PBE geometry in the Materials Project; Cu Kα, 1.54184 Å).

Structure:
Cell: 6.546 6.546 6.546 Å, 90.00 90.00 90.00°
Atoms (fractional coordinates):
V1 0.043 0.125 0.793
V2 0.125 0.793 0.043
V3 0.207 0.543 0.375
V4 0.293 0.457 0.875
V5 0.375 0.207 0.543
V6 0.457 0.875 0.293
V7 0.543 0.375 0.207
V8 0.625 0.707 0.957
V9 0.707 0.957 0.625
V10 0.793 0.043 0.125
V11 0.875 0.293 0.457
V12 0.957 0.625 0.707
Ga1 0.062 0.938 0.438
Ga2 0.188 0.188 0.188
Ga3 0.312 0.812 0.688
Ga4 0.438 0.062 0.938
Ga5 0.562 0.562 0.562
Ga6 0.688 0.312 0.812
Ga7 0.812 0.688 0.312
Ga8 0.938 0.438 0.062

Principal peaks in the range 2θ = 10–90°, sorted by position:
- 2θ 19.17, intensity 9
- 2θ 41.38, intensity 100
- 2θ 43.73, intensity 55
- 2θ 45.98, intensity 25
- 2θ 52.29, intensity 15
- 2θ 73.81, intensity 27
- 2θ 78.72, intensity 22
- 2θ 89.92, intensity 9



# 3
Structure and computed X-ray diffraction stick pattern of Ga5W2 (the GGA-PBE geometry in the Materials Project; Cu Kα, 1.54184 Å).

Structure:
Cell: 9.180 9.180 2.735 Å, 90.00 90.00 90.00°
Atoms (fractional coordinates):
Ga1 0.000 0.500 0.000
Ga2 0.060 0.201 0.000
Ga3 0.201 0.940 0.000
Ga4 0.299 0.440 0.000
Ga5 0.440 0.701 0.000
Ga6 0.500 0.000 0.000
Ga7 0.560 0.299 0.000
Ga8 0.701 0.560 0.000
Ga9 0.799 0.060 0.000
Ga10 0.940 0.799 0.000
W1 0.179 0.679 0.500
W2 0.321 0.179 0.500
W3 0.679 0.821 0.500
W4 0.821 0.321 0.500

Principal peaks in the range 2θ = 10–90°, sorted by position:
- 2θ 19.34, intensity 35
- 2θ 21.65, intensity 68
- 2θ 38.31, intensity 38
- 2θ 39.60, intensity 83
- 2θ 40.52, intensity 100
- 2θ 41.75, intensity 47
- 2θ 45.57, intensity 54
- 2θ 82.85, intensity 25



# 4
Structure and computed X-ray diffraction stick pattern of Y5Ga3 (the GGA-PBE geometry in the Materials Project; Cu Kα, 1.54184 Å).

Structure:
Cell: 8.650 8.650 6.580 Å, 90.00 90.00 120.00°
Atoms (fractional coordinates):
Y1 0.000 0.251 0.250
Y2 0.000 0.749 0.750
Y3 0.251 0.000 0.250
Y4 0.251 0.251 0.750
Y5 0.333 0.667 0.000
Y6 0.333 0.667 0.500
Y7 0.667 0.333 0.000
Y8 0.667 0.333 0.500
Y9 0.749 0.000 0.750
Y10 0.749 0.749 0.250
Ga1 0.000 0.395 0.750
Ga2 0.000 0.605 0.250
Ga3 0.395 0.000 0.750
Ga4 0.395 0.395 0.250
Ga5 0.605 0.000 0.250
Ga6 0.605 0.605 0.750

Principal peaks in the range 2θ = 10–90°, sorted by position:
- 2θ 27.10, intensity 20
- 2θ 29.66, intensity 19
- 2θ 31.60, intensity 31
- 2θ 34.25, intensity 93
- 2θ 34.48, intensity 100
- 2θ 35.96, intensity 48
- 2θ 50.50, intensity 20
- 2θ 52.80, intensity 29



# 5
Structure and computed X-ray diffraction stick pattern of YGa3 (the GGA-PBE geometry in the Materials Project; Cu Kα, 1.54184 Å).

Structure:
Cell: 6.302 6.302 4.582 Å, 90.00 90.00 120.00°
Atoms (fractional coordinates):
Y1 0.333 0.667 0.250
Y2 0.667 0.333 0.750
Ga1 0.148 0.295 0.750
Ga2 0.148 0.852 0.750
Ga3 0.295 0.148 0.250
Ga4 0.705 0.852 0.750
Ga5 0.852 0.148 0.250
Ga6 0.852 0.705 0.250

Principal peaks in the range 2θ = 10–90°, sorted by position:
- 2θ 32.82, intensity 25
- 2θ 38.39, intensity 100
- 2θ 39.33, intensity 22
- 2θ 52.13, intensity 13
- 2θ 58.59, intensity 16
- 2θ 70.68, intensity 16
- 2θ 72.25, intensity 11
- 2θ 72.86, intensity 16



# 6
Structure and computed X-ray diffraction stick pattern of YGa (the GGA-PBE geometry in the Materials Project; Cu Kα, 1.54184 Å).

Structure:
Cell: 5.878 5.878 4.087 Å, 90.00 90.00 136.68°
Atoms (fractional coordinates):
Y1 0.139 0.861 0.750
Y2 0.861 0.139 0.250
Ga1 0.424 0.576 0.750
Ga2 0.576 0.424 0.250

Principal peaks in the range 2θ = 10–90°, sorted by position:
- 2θ 31.16, intensity 100
- 2θ 32.09, intensity 34
- 2θ 32.79, intensity 24
- 2θ 39.10, intensity 69
- 2θ 39.69, intensity 25
- 2θ 41.64, intensity 28
- 2θ 44.32, intensity 23
- 2θ 62.43, intensity 16